For Cs6MnBr8, DFT lattice parameters and positions (GGA-PBE) gives the simulated PXRD pattern in this record (Cu Kα).
Intensities are scaled so that the largest is 100.

Crystal structure
```
data_Cs6MnBr8
_chemical_formula_sum 'Cs18 Mn3 Br24'
_symmetry_space_group_name_H-M 'R -3'
_symmetry_Int_Tables_number 148
_symmetry_space_group_name_Hall '-R 3'
_cell_length_a 10.5514
_cell_length_b 10.5514
_cell_length_c 20.6213
_cell_angle_alpha 90.00
_cell_angle_beta 90.00
_cell_angle_gamma 120.00
loop_
_atom_site_label
_atom_site_fract_x
_atom_site_fract_y
_atom_site_fract_z
_atom_site_occupancy
Cs1 0.0232 0.6200 0.4180 1
Mn1 0.0000 0.0000 0.5000 1
Br1 0.0000 0.0000 0.1522 1
Br2 0.0110 0.7906 0.5767 1
```

Most intense lines, 2θ = 5–70°, by intensity:
two_theta, d (Å), Rel. int.
26.16, 3.406, 100
21.23, 4.185, 82
31.06, 2.880, 78
36.49, 2.462, 71
27.23, 3.275, 69
31.17, 2.869, 63
33.85, 2.648, 63
25.92, 3.437, 62
29.32, 3.046, 51
12.88, 6.874, 26